For Al3Cd4, a structure optimized by DFT (GGA-PBE) gives the simulated powder X-ray diffraction pattern in this record (copper Kα).

Peak list (8 most intense, 2θ = 15–90°, sorted by position)
(0 0 1), 2θ 15.19, intensity 26
(1 1 0), 2θ 33.10, intensity 88
(1 0 2), 2θ 36.28, intensity 100
(1 1 1), 2θ 36.60, intensity 52
(2 0 1), 2θ 41.52, intensity 16
(2 0 2), 2θ 49.92, intensity 20
(2 1 2), 2θ 61.21, intensity 41
(3 1 2), 2θ 80.97, intensity 18

Crystal structure
Unit cell a=5.4128 b=5.4128 c=5.8318 alpha=90.00 beta=90.00 gamma=120.00
Space group P6/mmm (No. 191)
Inequivalent atoms, fractional coordinates:
Al1 0.0000 0.5000 0.0000
Cd1 0.0000 0.0000 0.2600
Cd2 0.3333 0.6667 0.5000